Structure and computed powder diffractogram of DyAg2Pb2 (a structure optimized by DFT (PBE); Cu Ka).
Peak positions follow from Bragg's law for the DFT cell and can differ from measured ones.

Top 6 peaks for 2θ from 5° to 70°, sorted by position:
30.0 deg, I 24
33.8 deg, I 100
39.4 deg, I 22
39.5 deg, I 21
50.9 deg, I 14
57.1 deg, I 15

```
DyAg2Pb2
1.0
2.2856 -11.6323 0.0000
2.2856 11.6323 0.0000
0.0000 0.0000 4.5596
Dy Ag Pb
2 4 4
direct
0.1372 0.8628 0.7500
0.8628 0.1372 0.2500
0.0379 0.9621 0.2500
0.4615 0.5385 0.2500
0.5385 0.4615 0.7500
0.9621 0.0379 0.7500
0.2499 0.7501 0.2500
0.3775 0.6225 0.7500
0.6225 0.3775 0.2500
0.7501 0.2499 0.7500
```